Computed powder diffractogram
Compound: Ac3Sn2BiPd9
Radiation: Cu Kα
Structure: the GGA-PBE geometry in Alexandria
Peak positions follow from Bragg's law for the DFT cell and can differ from measured ones.

Structural model:
abc: 6.8702 6.8702 9.6967
angles: 90.00 90.00 120.00
Atoms (fractional coordinates):
1 Ac 0.0000 0.0000 0.0000
2 Ac 0.3333 0.6667 0.7401
3 Ac 0.6667 0.3333 0.2599
4 Sn 0.3333 0.6667 0.1825
5 Sn 0.6667 0.3333 0.8175
6 Bi 0.0000 0.0000 0.5000
7 Pd 0.0000 0.5000 0.0000
8 Pd 0.1347 0.2694 0.2744
9 Pd 0.1347 0.8653 0.2744
10 Pd 0.2694 0.1347 0.7256
11 Pd 0.5000 0.0000 0.0000
12 Pd 0.5000 0.5000 0.0000
13 Pd 0.7306 0.8653 0.2744
14 Pd 0.8653 0.1347 0.7256
15 Pd 0.8653 0.7306 0.7256

Largest 10 diffraction maxima, by intensity, 10° ≤ 2θ ≤ 80°:
35.40°, I = 100; 31.46°, I = 46; 25.94°, I = 45; 44.41°, I = 37; 53.34°, I = 28; 41.24°, I = 25; 23.67°, I = 24; 37.09°, I = 23; 66.75°, I = 18; 45.79°, I = 17

=====

Computed powder diffractogram
Compound: Ac4PmBi5
Radiation: Cu Kα
Structure: the GGA-PBE geometry in Alexandria
Peak positions follow from Bragg's law for the DFT cell and can differ from measured ones.

Structural model:
abc: 8.3548 8.3548 8.3548
angles: 99.62 99.62 131.74
Atoms (fractional coordinates):
1 Ac 0.0971 0.3000 0.3972
2 Ac 0.3000 0.9029 0.2029
3 Ac 0.7000 0.0971 0.7971
4 Ac 0.9029 0.7000 0.6028
5 Pm 0.5000 0.5000 0.0000
6 Bi 0.0000 0.0000 0.0000
7 Bi 0.2086 0.5976 0.8062
8 Bi 0.4024 0.2086 0.6110
9 Bi 0.5976 0.7914 0.3890
10 Bi 0.7914 0.4024 0.1938

Largest 8 diffraction maxima, by intensity, 10° ≤ 2θ ≤ 80°:
26.12°, I = 100; 37.27°, I = 80; 60.70°, I = 39; 46.08°, I = 29; 67.21°, I = 29; 53.77°, I = 9; 79.45°, I = 9; 53.66°, I = 5